1.
For Mn2Pt9W, a structure optimized by DFT (PBE) gives the simulated powder diffraction line list in this record (Cu Kα).
No peak broadening, texture or thermal motion is included.

Principal peaks in the range 2θ = 10–90°, by angle:
two_theta  d/Å  I_rel
15.0  5.925  2
22.5  3.950  6
32.0  2.793  5
39.5  2.281  100
46.0  1.975  49
51.8  1.766  3
57.1  1.613  2
67.0  1.397  32
80.7  1.191  38
85.1  1.140  11

abc: 3.950 3.950 11.850
angles: 90.00 90.00 90.00
Sites, in units of the cell vectors:
Mn  0.000  0.000  0.161
Mn  0.000  0.000  0.839
Pt  0.000  0.500  0.000
Pt  0.000  0.500  0.337
Pt  0.000  0.500  0.663
Pt  0.500  0.000  0.000
Pt  0.500  0.000  0.337
Pt  0.500  0.000  0.663
Pt  0.500  0.500  0.168
Pt  0.500  0.500  0.500
Pt  0.500  0.500  0.832
W  0.000  0.000  0.500

2.
For MnZn3Pt3, a structure optimized by DFT (PBE) gives the simulated powder diffraction line list in this record (Cu Kα).
No peak broadening, texture or thermal motion is included.

Principal peaks in the range 2θ = 10–90°, by angle:
two_theta  d/Å  I_rel
14.2  6.235  30
20.0  4.441  10
28.6  3.117  19
34.4  2.607  12
40.6  2.220  29
41.2  2.189  28
42.8  2.111  100
59.3  1.559  18
75.5  1.260  18
76.3  1.248  17

abc: 6.236 6.236 5.739
angles: 90.00 90.00 90.82
Sites, in units of the cell vectors:
Mn  0.239  0.239  0.000
Mn  0.761  0.761  0.000
Zn  0.233  0.233  0.500
Zn  0.235  0.765  0.500
Zn  0.241  0.759  0.000
Zn  0.759  0.241  0.000
Zn  0.765  0.235  0.500
Zn  0.767  0.767  0.500
Pt  0.000  0.500  0.252
Pt  0.000  0.500  0.748
Pt  0.500  0.000  0.252
Pt  0.500  0.000  0.748
Pt  0.500  0.500  0.253
Pt  0.500  0.500  0.747

3.
For MnZn3Pt, a structure optimized by DFT (PBE) gives the simulated powder diffraction line list in this record (Cu Kα).
No peak broadening, texture or thermal motion is included.

Principal peaks in the range 2θ = 10–90°, by angle:
two_theta  d/Å  I_rel
13.7  6.454  91
23.1  3.853  41
36.1  2.490  73
41.0  2.201  93
41.9  2.158  85
42.4  2.131  64
42.5  2.127  54
44.0  2.056  100
44.6  2.032  61
69.5  1.353  35

abc: 2.846 6.811 8.254
angles: 108.32 99.86 90.15
Sites, in units of the cell vectors:
Mn  0.240  0.313  0.481
Mn  0.760  0.687  0.519
Zn  0.176  0.906  0.350
Zn  0.411  0.878  0.822
Zn  0.468  0.293  0.937
Zn  0.532  0.707  0.063
Zn  0.589  0.122  0.178
Zn  0.824  0.094  0.650
Pt  0.115  0.486  0.232
Pt  0.885  0.514  0.768